Diffraction record for CrO2. The powder XRD pattern is calculated, not measured: it uses a DFT-relaxed cell (GGA+U, the Materials Project) and λ = 1.5418 Å (Cu Kα).
Lines closer than 0.1° are merged.

Atomic structure:
```
data_CrO2
_chemical_formula_sum 'Cr24 O48'
_symmetry_space_group_name_H-M 'C 1 m 1'
_symmetry_Int_Tables_number 8
_symmetry_space_group_name_Hall 'C -2y'
_cell_length_a 10.337
_cell_length_b 5.954
_cell_length_c 14.246
_cell_angle_alpha 90.00
_cell_angle_beta 90.15
_cell_angle_gamma 90.00
loop_
_atom_site_label
_atom_site_type_symbol
_atom_site_fract_x
_atom_site_fract_y
_atom_site_fract_z
_atom_site_occupancy
Cr1 Cr 0.000 0.000 0.000 1
Cr2 Cr 0.000 0.000 0.375 1
Cr3 Cr 0.009 0.500 0.494 1
Cr4 Cr 0.081 0.243 0.827 1
Cr5 Cr 0.176 0.000 0.163 1
Cr6 Cr 0.246 0.263 0.494 1
Cr7 Cr 0.335 0.000 0.703 1
Cr8 Cr 0.337 0.500 0.820 1
Cr9 Cr 0.412 0.237 0.164 1
O1 O 0.000 0.000 0.245 1
O2 O 0.004 0.000 0.754 1
O3 O 0.070 0.210 0.085 1
O4 O 0.092 0.275 0.560 1
O5 O 0.142 0.000 0.906 1
O6 O 0.165 0.500 0.878 1
O7 O 0.166 0.000 0.421 1
O8 O 0.167 0.500 0.419 1
O9 O 0.254 0.239 0.753 1
O10 O 0.255 0.235 0.223 1
O11 O 0.317 0.500 0.560 1
O12 O 0.333 0.000 0.089 1
O13 O 0.334 0.000 0.571 1
O14 O 0.361 0.500 0.086 1
O15 O 0.418 0.252 0.421 1
O16 O 0.431 0.291 0.904 1
O17 O 0.490 0.000 0.223 1
O18 O 0.493 0.000 0.752 1
```

Principal peaks in the range 2θ = 10–80°, sorted by position:
| two_theta | I/Imax | index |
| --- | --- | --- |
| 18.3 | 60 | 2 0 1 |
| 18.7 | 100 | 0 0 3 |
| 21.3 | 52 | 2 0 -2 |
| 35.3 | 63 | 2 2 1 |
| 35.6 | 45 | 0 2 3 |
| 43.2 | 29 | 4 0 -4 |
| 43.3 | 56 | 2 2 4 |
| 62.3 | 25 | 6 2 0 |

Diffraction record for Li5VP3O12. The powder XRD pattern is calculated, not measured: it uses a DFT-relaxed cell (GGA+U, the Materials Project) and λ = 1.5418 Å (Cu Kα).
Lines closer than 0.1° are merged.

Atomic structure:
```
data_Li5VP3O12
_chemical_formula_sum 'Li10 V2 P6 O24'
_symmetry_space_group_name_H-M 'P 1'
_symmetry_Int_Tables_number 1
_symmetry_space_group_name_Hall 'P 1'
_cell_length_a 8.512
_cell_length_b 8.565
_cell_length_c 8.584
_cell_angle_alpha 62.67
_cell_angle_beta 62.23
_cell_angle_gamma 62.66
loop_
_atom_site_label
_atom_site_type_symbol
_atom_site_fract_x
_atom_site_fract_y
_atom_site_fract_z
_atom_site_occupancy
Li1 Li 0.000 0.000 0.000 1
Li2 Li 0.013 0.160 0.582 1
Li3 Li 0.091 0.690 0.390 1
Li4 Li 0.180 0.584 0.007 1
Li5 Li 0.197 0.176 0.187 1
Li6 Li 0.347 0.324 0.314 1
Li7 Li 0.400 0.094 0.693 1
Li8 Li 0.595 0.008 0.171 1
Li9 Li 0.802 0.492 0.094 1
Li10 Li 0.863 0.862 0.845 1
V1 V 0.495 0.478 0.490 1
V2 V 0.699 0.699 0.704 1
P1 P 0.098 0.396 0.790 1
P2 P 0.315 0.878 0.589 1
P3 P 0.407 0.783 0.102 1
P4 P 0.602 0.299 0.876 1
P5 P 0.792 0.087 0.401 1
P6 P 0.889 0.591 0.302 1
O1 O 0.087 0.453 0.296 1
O2 O 0.088 0.217 0.801 1
O3 O 0.118 0.383 0.964 1
O4 O 0.122 0.874 0.732 1
O5 O 0.229 0.805 0.079 1
O6 O 0.252 0.445 0.595 1
O7 O 0.308 0.069 0.442 1
O8 O 0.398 0.945 0.138 1
O9 O 0.402 0.720 0.503 1
O10 O 0.440 0.589 0.259 1
O11 O 0.449 0.842 0.688 1
O12 O 0.455 0.295 0.068 1
O13 O 0.507 0.349 0.735 1
O14 O 0.592 0.239 0.446 1
O15 O 0.599 0.742 0.940 1
O16 O 0.679 0.462 0.806 1
O17 O 0.750 0.490 0.355 1
O18 O 0.759 0.115 0.876 1
O19 O 0.765 0.923 0.591 1
O20 O 0.812 0.049 0.236 1
O21 O 0.828 0.683 0.449 1
O22 O 0.890 0.733 0.109 1
O23 O 0.931 0.578 0.762 1
O24 O 0.955 0.133 0.381 1
```

Principal peaks in the range 2θ = 10–80°, sorted by position:
| two_theta | I/Imax | index |
| --- | --- | --- |
| 12.3 | 48 | 0 1 0 |
| 12.4 | 24 | 1 0 0 |
| 20.8 | 18 | 1 2 1 |
| 23.8 | 65 | 1 0 2 |
| 23.9 | 100 | 1 2 0 |
| 24.1 | 31 | 2 1 0 |
| 31.0 | 18 | 0 1 -2 |
| 32.9 | 18 | 2 1 3 |

Diffraction record for DyFe3B4O12. The powder XRD pattern is calculated, not measured: it uses a DFT-relaxed cell (GGA+U, the Materials Project) and λ = 1.5418 Å (Cu Kα).
Lines closer than 0.1° are merged.

Atomic structure:
```
data_DyFe3B4O12
_chemical_formula_sum 'Dy3 Fe9 B12 O36'
_symmetry_space_group_name_H-M 'P 31 2 1'
_symmetry_Int_Tables_number 152
_symmetry_space_group_name_Hall 'P 31 2"'
_cell_length_a 9.6180
_cell_length_b 9.6180
_cell_length_c 7.6684
_cell_angle_alpha 90.00
_cell_angle_beta 90.00
_cell_angle_gamma 120.00
loop_
_atom_site_label
_atom_site_type_symbol
_atom_site_fract_x
_atom_site_fract_y
_atom_site_fract_z
_atom_site_occupancy
Dy1 Dy 0.0000 0.6642 0.1667 1
Fe1 Fe 0.0000 0.1156 0.1667 1
Fe2 Fe 0.2137 0.5484 0.8439 1
B1 B 0.0000 0.2208 0.6667 1
B2 B 0.0000 0.6676 0.6667 1
B3 B 0.1237 0.4481 0.3468 1
O1 O 0.0000 0.0770 0.6667 1
O2 O 0.0000 0.8116 0.6667 1
O3 O 0.0102 0.4753 0.9815 1
O4 O 0.1234 0.3060 0.3200 1
O5 O 0.1446 0.6694 0.6756 1
O6 O 0.1477 0.3608 0.6821 1
O7 O 0.2744 0.5818 0.3706 1
```

Principal peaks in the range 2θ = 10–80°, sorted by position:
| two_theta | I/Imax | index |
| --- | --- | --- |
| 15.7 | 35 | 0 1 1 |
| 18.4 | 27 | 1 1 0 |
| 24.3 | 84 | 2 0 1 |
| 30.7 | 27 | 1 2 1 |
| 31.7 | 100 | 0 2 2 |
| 37.4 | 26 | 2 2 0 |
| 45.9 | 20 | 1 3 2 |
| 52.2 | 31 | 2 2 3 |

Diffraction record for LiVF4. The powder XRD pattern is calculated, not measured: it uses a DFT-relaxed cell (GGA+U, the Materials Project) and λ = 1.5418 Å (Cu Kα).
Lines closer than 0.1° are merged.

Atomic structure:
```
data_LiVF4
_chemical_formula_sum 'Li4 V4 F16'
_symmetry_space_group_name_H-M 'P 21 21 21'
_symmetry_Int_Tables_number 19
_symmetry_space_group_name_Hall 'P 2ac 2ab'
_cell_length_a 5.437
_cell_length_b 6.401
_cell_length_c 9.073
_cell_angle_alpha 90.00
_cell_angle_beta 90.00
_cell_angle_gamma 90.00
loop_
_atom_site_label
_atom_site_type_symbol
_atom_site_fract_x
_atom_site_fract_y
_atom_site_fract_z
_atom_site_occupancy
Li1 Li 0.008 0.031 0.091 1
V1 V 0.013 0.232 0.758 1
F1 F 0.088 0.957 0.881 1
F2 F 0.157 0.800 0.193 1
F3 F 0.158 0.509 0.856 1
F4 F 0.231 0.766 0.594 1
```

Principal peaks in the range 2θ = 10–80°, sorted by position:
| two_theta | I/Imax | index |
| --- | --- | --- |
| 19.0 | 100 | 1 0 1 |
| 19.6 | 47 | 0 0 2 |
| 34.0 | 14 | 1 0 3 |
| 34.3 | 17 | 0 2 2 |
| 38.2 | 23 | 1 2 2 |
| 44.5 | 16 | 1 2 3 |
| 48.3 | 13 | 2 2 2 |
| 59.5 | 19 | 3 0 3 |

Diffraction record for LiP2WO8. The powder XRD pattern is calculated, not measured: it uses a DFT-relaxed cell (GGA+U, the Materials Project) and λ = 1.5418 Å (Cu Kα).
Lines closer than 0.1° are merged.

Atomic structure:
```
data_LiP2WO8
_chemical_formula_sum 'Li4 P8 W4 O32'
_symmetry_space_group_name_H-M 'P 1 21/c 1'
_symmetry_Int_Tables_number 14
_symmetry_space_group_name_Hall '-P 2ybc'
_cell_length_a 4.984
_cell_length_b 8.066
_cell_length_c 16.178
_cell_angle_alpha 90.00
_cell_angle_beta 95.73
_cell_angle_gamma 90.00
loop_
_atom_site_label
_atom_site_type_symbol
_atom_site_fract_x
_atom_site_fract_y
_atom_site_fract_z
_atom_site_occupancy
Li1 Li 0.126 0.163 0.027 1
P1 P 0.346 0.694 0.581 1
P2 P 0.376 0.129 0.755 1
W1 W 0.146 0.038 0.357 1
O1 O 0.035 0.618 0.922 1
O2 O 0.096 0.724 0.112 1
O3 O 0.139 0.008 0.741 1
O4 O 0.258 0.580 0.511 1
O5 O 0.282 0.192 0.264 1
O6 O 0.430 0.618 0.812 1
O7 O 0.434 0.176 0.434 1
O8 O 0.473 0.576 0.657 1
```

Principal peaks in the range 2θ = 10–80°, sorted by position:
| two_theta | I/Imax | index |
| --- | --- | --- |
| 12.3 | 93 | 0 1 1 |
| 15.6 | 49 | 0 1 2 |
| 19.9 | 100 | 0 1 3 |
| 22.0 | 41 | 0 2 0 |
| 22.2 | 86 | 1 1 1 |
| 25.7 | 75 | 1 1 -3 |
| 30.0 | 61 | 1 0 4 |
| 36.5 | 34 | 1 1 5 |

Diffraction record for Li21Co8O18. The powder XRD pattern is calculated, not measured: it uses a DFT-relaxed cell (GGA+U, the Materials Project) and λ = 1.5418 Å (Cu Kα).
Lines closer than 0.1° are merged.

Atomic structure:
```
data_Li21Co8O18
_chemical_formula_sum 'Li21 Co8 O18'
_symmetry_space_group_name_H-M 'P 1'
_symmetry_Int_Tables_number 1
_symmetry_space_group_name_Hall 'P 1'
_cell_length_a 7.693
_cell_length_b 7.800
_cell_length_c 9.734
_cell_angle_alpha 75.34
_cell_angle_beta 77.53
_cell_angle_gamma 60.65
loop_
_atom_site_label
_atom_site_type_symbol
_atom_site_fract_x
_atom_site_fract_y
_atom_site_fract_z
_atom_site_occupancy
Li1 Li 0.000 0.000 0.000 1
Li2 Li 0.001 0.843 0.754 1
Li3 Li 0.053 0.302 0.230 1
Li4 Li 0.077 0.038 0.509 1
Li5 Li 0.112 0.546 0.013 1
Li6 Li 0.170 0.854 0.243 1
Li7 Li 0.261 0.109 0.005 1
Li8 Li 0.288 0.462 0.242 1
Li9 Li 0.317 0.601 0.467 1
Li10 Li 0.372 0.977 0.475 1
Li11 Li 0.428 0.238 0.473 1
Li12 Li 0.429 0.047 0.251 1
Li13 Li 0.477 0.538 0.715 1
Li14 Li 0.613 0.085 0.752 1
Li15 Li 0.613 0.709 0.464 1
Li16 Li 0.678 0.308 0.525 1
Li17 Li 0.738 0.637 0.772 1
Li18 Li 0.758 0.792 0.966 1
Li19 Li 0.844 0.258 0.778 1
Li20 Li 0.884 0.390 0.997 1
Li21 Li 0.916 0.744 0.225 1
Co1 Co 0.165 0.398 0.738 1
Co2 Co 0.300 0.960 0.764 1
Co3 Co 0.421 0.676 0.989 1
Co4 Co 0.564 0.234 0.994 1
Co5 Co 0.613 0.591 0.244 1
Co6 Co 0.762 0.159 0.254 1
Co7 Co 0.855 0.888 0.473 1
Co8 Co 0.991 0.454 0.498 1
O1 O 0.001 0.129 0.149 1
O2 O 0.067 0.657 0.394 1
O3 O 0.098 0.182 0.845 1
O4 O 0.178 0.718 0.089 1
O5 O 0.180 0.235 0.411 1
O6 O 0.294 0.828 0.640 1
O7 O 0.322 0.270 0.095 1
O8 O 0.398 0.804 0.335 1
O9 O 0.419 0.359 0.639 1
O10 O 0.506 0.881 0.883 1
O11 O 0.529 0.394 0.332 1
O12 O 0.619 0.976 0.387 1
O13 O 0.633 0.455 0.909 1
O14 O 0.754 0.485 0.605 1
O15 O 0.783 0.038 0.905 1
O16 O 0.845 0.029 0.602 1
O17 O 0.849 0.585 0.145 1
O18 O 0.976 0.603 0.844 1
```

Principal peaks in the range 2θ = 10–80°, sorted by position:
| two_theta | I/Imax | index |
| --- | --- | --- |
| 14.4 | 50 | 1 1 1 |
| 17.1 | 100 | 1 0 -1 |
| 23.6 | 32 | 1 2 0 |
| 23.7 | 45 | 2 1 0 |
| 26.7 | 40 | 0 2 1 |
| 27.0 | 39 | 2 1 2 |
| 28.2 | 30 | 1 1 3 |
| 30.3 | 65 | 1 0 3 |